Entry 1:
Diffraction record for LaPu2Rh2. The PXRD pattern is theoretical, not measured: it uses a DFT-relaxed cell (PBE, Alexandria) and Cu Kα, 1.54184 Å.
Kinematic intensities with the Lorentz-polarization factor, no thermal factor.

Crystal structure
a b c (Å): 6.1261 6.9432 7.5930
angles (deg): 65.12 66.31 63.84
Atoms (fractional coordinates):
1 La 0.1346 0.2500 0.2507
2 La 0.8654 0.7500 0.7493
3 Pu 0.1949 0.1233 0.7762
4 Pu 0.4070 0.6242 0.2750
5 Pu 0.5930 0.3758 0.7250
6 Pu 0.8051 0.8767 0.2238
7 Rh 0.2465 0.6681 0.9678
8 Rh 0.3832 0.8315 0.5328
9 Rh 0.6168 0.1685 0.4672
10 Rh 0.7535 0.3319 0.0322

The 8 most intense peaks (2θ = 10–90°), most intense first:
2θ/deg, I/Imax
32.18, 100
37.64, 77
29.22, 63
29.27, 45
26.85, 31
48.90, 26
43.57, 23
55.18, 22

---

Entry 2:
Diffraction record for LaPuRh. The PXRD pattern is theoretical, not measured: it uses a DFT-relaxed cell (PBE, Alexandria) and Cu Kα, 1.54184 Å.
Kinematic intensities with the Lorentz-polarization factor, no thermal factor.

Crystal structure
a b c (Å): 3.7629 6.1052 7.2598
angles (deg): 114.78 105.02 90.14
Atoms (fractional coordinates):
1 La 0.2119 0.2114 0.4232
2 La 0.7881 0.7886 0.5768
3 Pu 0.4990 0.2041 0.9998
4 Pu 0.5010 0.7959 0.0002
5 Rh 0.1131 0.6118 0.2272
6 Rh 0.8869 0.3882 0.7728

The 8 most intense peaks (2θ = 10–90°), most intense first:
2θ/deg, I/Imax
31.90, 100
38.59, 74
31.31, 59
32.58, 59
38.69, 39
14.02, 37
48.38, 25
59.41, 21

---

Entry 3:
Diffraction record for La2PuRh9. The PXRD pattern is theoretical, not measured: it uses a DFT-relaxed cell (PBE, Alexandria) and Cu Kα, 1.54184 Å.
Kinematic intensities with the Lorentz-polarization factor, no thermal factor.

Crystal structure
a b c (Å): 9.4668 9.4668 9.4668
angles (deg): 32.54 32.54 32.54
Atoms (fractional coordinates):
1 La 0.1382 0.1382 0.1382
2 La 0.8618 0.8618 0.8618
3 Pu 0.0000 0.0000 0.0000
4 Rh 0.0812 0.5804 0.5804
5 Rh 0.3330 0.3330 0.3330
6 Rh 0.4196 0.4196 0.9188
7 Rh 0.4196 0.9188 0.4196
8 Rh 0.5000 0.5000 0.5000
9 Rh 0.5804 0.0812 0.5804
10 Rh 0.5804 0.5804 0.0812
11 Rh 0.6670 0.6670 0.6670
12 Rh 0.9188 0.4196 0.4196

The 8 most intense peaks (2θ = 10–90°), most intense first:
2θ/deg, I/Imax
39.49, 100
33.80, 36
39.38, 36
33.04, 34
30.34, 30
64.30, 24
71.10, 23
40.27, 21

---

Entry 4:
Diffraction record for La2PuSb4Rh3. The PXRD pattern is theoretical, not measured: it uses a DFT-relaxed cell (PBE, Alexandria) and Cu Kα, 1.54184 Å.
Kinematic intensities with the Lorentz-polarization factor, no thermal factor.

Crystal structure
a b c (Å): 4.5492 4.5492 11.8339
angles (deg): 90.00 90.00 90.00
Atoms (fractional coordinates):
1 La 0.0000 0.5000 0.2262
2 La 0.5000 0.0000 0.7738
3 Pu 0.0000 0.0000 0.5000
4 Sb 0.0000 0.0000 0.0000
5 Sb 0.0000 0.5000 0.6661
6 Sb 0.5000 0.0000 0.3339
7 Sb 0.5000 0.5000 0.0000
8 Rh 0.0000 0.5000 0.8873
9 Rh 0.5000 0.0000 0.1127
10 Rh 0.5000 0.5000 0.5000

The 8 most intense peaks (2θ = 10–90°), most intense first:
2θ/deg, I/Imax
31.66, 100
39.62, 54
29.98, 27
41.47, 26
66.94, 23
57.28, 18
50.46, 18
36.22, 16

---

Entry 5:
Diffraction record for La2Pu2Ru3. The PXRD pattern is theoretical, not measured: it uses a DFT-relaxed cell (PBE, Alexandria) and Cu Kα, 1.54184 Å.
Kinematic intensities with the Lorentz-polarization factor, no thermal factor.

Crystal structure
a b c (Å): 3.9185 5.9209 7.4704
angles (deg): 98.16 90.00 109.31
Atoms (fractional coordinates):
1 La 0.1301 0.2614 0.3558
2 La 0.8699 0.7386 0.6442
3 Pu 0.1513 0.3022 0.8935
4 Pu 0.8487 0.6978 0.1065
5 Ru 0.4072 0.8148 0.3435
6 Ru 0.5000 0.0000 0.0000
7 Ru 0.5928 0.1852 0.6565

The 8 most intense peaks (2θ = 10–90°), most intense first:
2θ/deg, I/Imax
33.41, 100
35.22, 37
39.28, 28
32.41, 25
36.87, 24
46.34, 22
26.95, 20
31.09, 19

---

Entry 6:
Diffraction record for La5Pu3S8. The PXRD pattern is theoretical, not measured: it uses a DFT-relaxed cell (PBE, Alexandria) and Cu Kα, 1.54184 Å.
Kinematic intensities with the Lorentz-polarization factor, no thermal factor.

Crystal structure
a b c (Å): 8.1933 8.1933 8.1933
angles (deg): 59.69 59.69 59.69
Atoms (fractional coordinates):
1 La 0.0000 0.0000 0.0000
2 La 0.0000 0.5000 0.5000
3 La 0.5000 0.0000 0.5000
4 La 0.5000 0.5000 0.0000
5 La 0.5000 0.5000 0.5000
6 Pu 0.0000 0.0000 0.5000
7 Pu 0.0000 0.5000 0.0000
8 Pu 0.5000 0.0000 0.0000
9 S 0.2398 0.7501 0.7501
10 S 0.2448 0.2448 0.2448
11 S 0.2499 0.2499 0.7602
12 S 0.2499 0.7602 0.2499
13 S 0.7501 0.2398 0.7501
14 S 0.7501 0.7501 0.2398
15 S 0.7552 0.7552 0.7552
16 S 0.7602 0.2499 0.2499

The 8 most intense peaks (2θ = 10–90°), most intense first:
2θ/deg, I/Imax
30.94, 100
26.76, 65
44.22, 37
44.44, 37
52.57, 33
26.59, 22
55.13, 19
73.08, 17

---

Entry 7:
Diffraction record for La5PuSi4. The PXRD pattern is theoretical, not measured: it uses a DFT-relaxed cell (PBE, Alexandria) and Cu Kα, 1.54184 Å.
Kinematic intensities with the Lorentz-polarization factor, no thermal factor.

Crystal structure
a b c (Å): 8.2756 8.2756 6.9799
angles (deg): 91.47 91.47 36.70
Atoms (fractional coordinates):
1 La 0.0000 0.0000 0.0000
2 La 0.3306 0.3306 0.4831
3 La 0.3399 0.3399 0.0013
4 La 0.6601 0.6601 0.9987
5 La 0.6694 0.6694 0.5169
6 Pu 0.0000 0.0000 0.5000
7 Si 0.1737 0.1737 0.7543
8 Si 0.4919 0.4919 0.7270
9 Si 0.5081 0.5081 0.2730
10 Si 0.8263 0.8263 0.2457

The 8 most intense peaks (2θ = 10–90°), most intense first:
2θ/deg, I/Imax
24.10, 100
35.04, 64
35.74, 59
25.53, 43
34.42, 34
34.26, 33
49.35, 24
43.35, 21

---

Entry 8:
Diffraction record for La12Tb7Pu. The PXRD pattern is theoretical, not measured: it uses a DFT-relaxed cell (PBE, Alexandria) and Cu Kα, 1.54184 Å.
Kinematic intensities with the Lorentz-polarization factor, no thermal factor.

Crystal structure
a b c (Å): 11.4879 11.4879 11.4879
angles (deg): 116.65 116.65 116.65
Atoms (fractional coordinates):
1 La 0.0000 0.4071 0.5929
2 La 0.0000 0.5929 0.4071
3 La 0.0587 0.0587 0.4138
4 La 0.0587 0.4138 0.0587
5 La 0.4071 0.0000 0.5929
6 La 0.4071 0.5929 0.0000
7 La 0.4138 0.0587 0.0587
8 La 0.5862 0.9413 0.9413
9 La 0.5929 0.0000 0.4071
10 La 0.5929 0.4071 0.0000
11 La 0.9413 0.5862 0.9413
12 La 0.9413 0.9413 0.5862
13 Tb 0.0000 0.0000 0.0000
14 Tb 0.1502 0.3933 0.3933
15 Tb 0.3933 0.1502 0.3933
16 Tb 0.3933 0.3933 0.1502
17 Tb 0.6067 0.6067 0.8498
18 Tb 0.6067 0.8498 0.6067
19 Tb 0.8498 0.6067 0.6067
20 Pu 0.5000 0.5000 0.5000

The 8 most intense peaks (2θ = 10–90°), most intense first:
2θ/deg, I/Imax
29.89, 100
27.37, 35
32.61, 33
33.03, 31
33.96, 28
38.77, 27
47.14, 23
46.44, 22